# 1
Diffraction record for SrLi7Tl4. The powder diffractogram is theoretical, not measured: it uses DFT lattice parameters and positions (PBE) and Cu Kα (weighted mean of Kα1 and Kα2).
Peak positions follow from Bragg's law for the DFT cell and can differ from measured ones.

a b c (Å): 11.6708 5.3646 10.4394
angles (deg): 90.00 122.90 90.00
Space group C2/m (No. 12)
Inequivalent atoms, fractional coordinates:
Sr1 0.0000 0.0000 0.0000 (multiplicity 2)
Li1 0.0000 0.5000 0.0000 (multiplicity 2)
Li2 0.0424 0.0000 0.3801 (multiplicity 4)
Li3 0.1538 0.5000 0.5681 (multiplicity 4)
Li4 0.2204 0.0000 0.8833 (multiplicity 4)
Tl1 0.1000 0.5000 0.8007 (multiplicity 4)
Tl2 0.2075 0.5000 0.3287 (multiplicity 4)

Principal peaks in the range 10° ≤ 2θ ≤ 90°, sorted by position:
d [Å]  2θ/deg  I_rel
4.705  18.86  30
4.383  20.26  20
3.729  23.86  100
3.108  28.73  31
2.787  32.11  30
2.752  32.53  18
2.682  33.41  26
2.593  34.59  19
2.361  38.12  18
1.813  50.33  19


# 2
Diffraction record for Pr5TmHg3. The powder diffractogram is theoretical, not measured: it uses DFT lattice parameters and positions (PBE) and Cu Kα (weighted mean of Kα1 and Kα2).
Peak positions follow from Bragg's law for the DFT cell and can differ from measured ones.

a b c (Å): 9.4338 9.4338 7.0210
angles (deg): 90.00 90.00 120.00
Space group P6_3/mcm (No. 193)
Inequivalent atoms, fractional coordinates:
Pr1 0.0000 0.3351 0.2500 (multiplicity 6)
Pr2 0.3333 0.6667 0.0000 (multiplicity 4)
Tm1 0.0000 0.0000 0.0000 (multiplicity 2)
Hg1 0.0000 0.3254 0.7500 (multiplicity 6)

Principal peaks in the range 10° ≤ 2θ ≤ 90°, sorted by position:
d [Å]  2θ/deg  I_rel
2.816  31.77  94
2.723  32.89  100
2.152  41.99  16
1.958  46.38  33
1.590  58.02  34
1.572  58.72  19
1.475  63.00  31
1.362  68.97  12
1.226  77.93  14
1.171  82.34  15


# 3
Diffraction record for Te2CF2. The powder diffractogram is theoretical, not measured: it uses DFT lattice parameters and positions (PBE) and Cu Kα (weighted mean of Kα1 and Kα2).
Peak positions follow from Bragg's law for the DFT cell and can differ from measured ones.

a b c (Å): 7.3437 7.3437 2.9610
angles (deg): 90.00 90.00 90.00
Space group P4/mbm (No. 127)
Inequivalent atoms, fractional coordinates:
Te1 0.2010 0.2990 0.0000 (multiplicity 4)
C1 0.0000 0.0000 0.0000 (multiplicity 2)
F1 0.1185 0.6185 0.5000 (multiplicity 4)

Principal peaks in the range 10° ≤ 2θ ≤ 90°, sorted by position:
d [Å]  2θ/deg  I_rel
3.672  24.24  100
3.284  27.15  51
2.961  30.18  39
2.596  34.55  35
2.305  39.08  62
2.199  41.04  74
1.952  46.52  30
1.781  51.29  38
1.526  60.68  42
1.139  85.24  17


# 4
Diffraction record for Tb7Sn3C2. The powder diffractogram is theoretical, not measured: it uses DFT lattice parameters and positions (PBE) and Cu Kα (weighted mean of Kα1 and Kα2).
Peak positions follow from Bragg's law for the DFT cell and can differ from measured ones.

a b c (Å): 4.8809 4.8809 25.6724
angles (deg): 90.00 90.00 90.00
Space group I4/mmm (No. 139)
Inequivalent atoms, fractional coordinates:
Tb1 0.0000 0.0000 0.0000 (multiplicity 2)
Tb2 0.0000 0.0000 0.1946 (multiplicity 4)
Tb3 0.0000 0.5000 0.0957 (multiplicity 8)
Sn1 0.0000 0.0000 0.3193 (multiplicity 4)
Sn2 0.0000 0.0000 0.5000 (multiplicity 2)
C1 0.0000 0.0000 0.0979 (multiplicity 4)

Principal peaks in the range 10° ≤ 2θ ≤ 90°, sorted by position:
d [Å]  2θ/deg  I_rel
3.040  29.38  54
2.686  33.35  100
2.567  34.95  26
2.440  36.83  60
1.769  51.68  34
1.726  53.07  21
1.455  63.99  19
1.452  64.14  31
1.432  65.13  17
1.112  87.74  17


# 5
Diffraction record for NiB. The powder diffractogram is theoretical, not measured: it uses DFT lattice parameters and positions (PBE) and Cu Kα (weighted mean of Kα1 and Kα2).
Peak positions follow from Bragg's law for the DFT cell and can differ from measured ones.

a b c (Å): 2.9402 7.3719 2.9850
angles (deg): 90.00 90.00 90.00
Space group Cmcm (No. 63)
Inequivalent atoms, fractional coordinates:
Ni1 0.0000 0.1472 0.2500 (multiplicity 4)
B1 0.0000 0.4333 0.2500 (multiplicity 4)

Principal peaks in the range 10° ≤ 2θ ≤ 90°, sorted by position:
d [Å]  2θ/deg  I_rel
2.731  32.79  41
2.320  38.82  83
2.015  44.99  100
1.885  48.27  53
1.843  49.45  19
1.493  62.20  15
1.470  63.26  14
1.242  76.76  20
1.206  79.50  19
1.170  82.41  20


# 6
Diffraction record for KTa4Si. The powder diffractogram is theoretical, not measured: it uses DFT lattice parameters and positions (PBE) and Cu Kα (weighted mean of Kα1 and Kα2).
Peak positions follow from Bragg's law for the DFT cell and can differ from measured ones.

a b c (Å): 7.9768 7.9768 7.9768
angles (deg): 90.00 90.00 90.00
Space group F-43m (No. 216)
Inequivalent atoms, fractional coordinates:
K1 0.0000 0.0000 0.0000 (multiplicity 4)
Ta1 0.1281 0.1281 0.3719 (multiplicity 16)
Si1 0.2500 0.2500 0.7500 (multiplicity 4)

Principal peaks in the range 10° ≤ 2θ ≤ 90°, sorted by position:
d [Å]  2θ/deg  I_rel
4.605  19.27  100
2.405  37.39  100
2.303  39.12  91
1.994  45.48  37
1.830  49.83  26
1.535  60.29  34
1.410  66.28  35
1.348  69.75  19
1.203  79.74  35
1.117  87.29  11


# 7
Diffraction record for Li2CeSi4. The powder diffractogram is theoretical, not measured: it uses DFT lattice parameters and positions (PBE) and Cu Kα (weighted mean of Kα1 and Kα2).
Peak positions follow from Bragg's law for the DFT cell and can differ from measured ones.

a b c (Å): 4.0452 4.0452 26.7754
angles (deg): 90.00 90.00 120.00
Space group R-3m (No. 166, hexagonal axes)
Inequivalent atoms, fractional coordinates:
Li1 0.0000 0.0000 0.1377 (multiplicity 6)
Ce1 0.0000 0.0000 0.0000 (multiplicity 3)
Si1 0.0000 0.0000 0.2409 (multiplicity 6)
Si2 0.0000 0.0000 0.4033 (multiplicity 6)

Principal peaks in the range 10° ≤ 2θ ≤ 90°, sorted by position:
d [Å]  2θ/deg  I_rel
3.474  25.65  36
3.389  26.30  33
3.104  28.76  53
2.932  30.49  100
2.583  34.72  37
2.420  37.15  57
2.023  44.81  54
1.973  46.01  27
1.665  55.17  18
1.499  61.92  25


# 8
Diffraction record for KTaRhO6. The powder diffractogram is theoretical, not measured: it uses DFT lattice parameters and positions (PBE) and Cu Kα (weighted mean of Kα1 and Kα2).
Peak positions follow from Bragg's law for the DFT cell and can differ from measured ones.

a b c (Å): 5.3046 5.3046 6.0243
angles (deg): 90.00 90.00 120.00
Space group P3 (No. 143)
Inequivalent atoms, fractional coordinates:
K1 0.0000 0.0000 0.0000 (multiplicity 1)
Ta1 0.3333 0.6667 0.4709 (multiplicity 1)
Rh1 0.6667 0.3333 0.5187 (multiplicity 1)
O1 0.3824 0.3727 0.3193 (multiplicity 3)
O2 0.3899 0.0017 0.6857 (multiplicity 3)

Principal peaks in the range 10° ≤ 2θ ≤ 90°, sorted by position:
d [Å]  2θ/deg  I_rel
6.024  14.70  100
4.594  19.32  34
3.653  24.37  94
3.012  29.66  14
2.652  33.79  38
2.427  37.03  42
2.146  42.10  18
1.991  45.57  50
1.668  55.04  19
1.601  57.57  14